[1]
# Ca2TaVO6
Simulated X-ray powder pattern, Cu Kα (weighted mean of Kα1 and Kα2). Input: the PBE+U geometry in Alexandria.
Intensities are scaled so that the largest is 100.

Structure:
Cell lengths 5.5039, 7.7466, 5.6717 Å; angles 90.00, 90.12, 90.00 degrees
Fractional coordinates of all 20 atoms:
1 Ca 0.0084 0.2500 0.0418
2 Ca 0.4857 0.2500 0.5603
3 Ca 0.5143 0.7500 0.4397
4 Ca 0.9916 0.7500 0.9582
5 Ta 0.0000 0.0000 0.5000
6 Ta 0.0000 0.5000 0.5000
7 V 0.5000 0.0000 0.0000
8 V 0.5000 0.5000 0.0000
9 O 0.0947 0.7500 0.5292
10 O 0.1946 0.0481 0.7886
11 O 0.1946 0.4519 0.7886
12 O 0.2906 0.0452 0.3028
13 O 0.2906 0.4548 0.3028
14 O 0.4222 0.7500 0.0218
15 O 0.5778 0.2500 0.9782
16 O 0.7094 0.5452 0.6972
17 O 0.7094 0.9548 0.6972
18 O 0.8054 0.5481 0.2114
19 O 0.8054 0.9519 0.2114
20 O 0.9053 0.2500 0.4708

Top 8 peaks for 2θ from 10° to 80°, by angle:
d 5.672, 15.62°, rel. 30; d 5.504, 16.10°, rel. 29; d 3.950, 22.51°, rel. 48; d 2.836, 31.55°, rel. 26; d 2.765, 32.37°, rel. 100; d 2.752, 32.54°, rel. 24; d 1.975, 45.95°, rel. 30; d 1.591, 57.95°, rel. 24

[2]
# Ca2Ta2WO8
Simulated X-ray powder pattern, Cu Kα (weighted mean of Kα1 and Kα2). Input: the PBE+U geometry in Alexandria.
Intensities are scaled so that the largest is 100.

Structure:
Cell lengths 10.1127, 10.1127, 5.5396 Å; angles 93.22, 93.22, 36.51 degrees
Fractional coordinates of all 26 atoms:
1 Ca 0.1356 0.4402 0.0174
2 Ca 0.2029 0.2029 0.4879
3 Ca 0.5598 0.8644 0.9826
4 Ca 0.7971 0.7971 0.5121
5 Ta 0.4233 0.3473 0.5168
6 Ta 0.6527 0.5767 0.4832
7 Ta 0.6975 0.0794 0.9926
8 Ta 0.9206 0.3025 0.0074
9 W 0.0430 0.9570 0.5000
10 W 0.3228 0.6772 0.0000
11 O 0.0968 0.0129 0.8562
12 O 0.1494 0.4751 0.4199
13 O 0.2048 0.1654 0.0847
14 O 0.2501 0.6359 0.6487
15 O 0.3641 0.7499 0.3513
16 O 0.4355 0.1985 0.7691
17 O 0.4950 0.3755 0.1832
18 O 0.5249 0.8506 0.5801
19 O 0.5589 0.0882 0.2618
20 O 0.6245 0.5050 0.8168
21 O 0.7597 0.0862 0.6427
22 O 0.8015 0.5645 0.2309
23 O 0.8346 0.7952 0.9153
24 O 0.9118 0.4411 0.7382
25 O 0.9138 0.2403 0.3573
26 O 0.9871 0.9032 0.1438

Top 8 peaks for 2θ from 10° to 80°, by angle:
d 4.499, 19.73°, rel. 52; d 3.563, 24.99°, rel. 36; d 3.421, 26.05°, rel. 27; d 3.281, 27.18°, rel. 60; d 2.886, 30.98°, rel. 57; d 2.763, 32.41°, rel. 100; d 2.749, 32.58°, rel. 79; d 1.594, 57.86°, rel. 34